Calculated XRD peak list of Ac5CuOs for a wavelength of 1.5418 Å, from the PBE geometry in Alexandria.
No peak broadening, texture or thermal motion is included.

Most intense lines, 2θ from 10° to 80°, sorted by position:
| 2theta | d_spacing | I (rel.) | (hkl) |
| --- | --- | --- | --- |
| 12.91 | 6.856 | 40 | 1 0 1 |
| 25.99 | 3.428 | 47 | 2 0 2 |
| 26.51 | 3.362 | 63 | 0 1 3 |
| 27.36 | 3.259 | 47 | 0 0 5 |
| 28.19 | 3.165 | 100 | 2 0 -3 |
| 29.19 | 3.060 | 96 | 1 1 3 |
| 40.83 | 2.210 | 37 | 1 1 -6 |
| 41.23 | 2.189 | 38 | 2 0 6 |
| 42.23 | 2.140 | 42 | 0 2 0 |
| 51.55 | 1.773 | 42 | 2 2 -3 |

Structure:
```
data_Ac5CuOs
_chemical_formula_sum 'Ac10 Cu2 Os2'
_symmetry_space_group_name_H-M 'P 1 21/m 1'
_symmetry_Int_Tables_number 11
_cell_length_a 7.6503
_cell_length_b 4.2801
_cell_length_c 16.3017
_cell_angle_alpha 90.00
_cell_angle_beta 91.47
_cell_angle_gamma 90.00
loop_
_symmetry_equiv_pos_as_xyz
'x,y,z'
'-x,-y,-z'
'-x,y+1/2,-z'
'x,-y+1/2,z'
loop_
_atom_site_label
_atom_site_fract_x
_atom_site_fract_y
_atom_site_fract_z
Ac1 0.0512 0.2500 0.2209
Ac2 0.1294 0.2500 0.5797
Ac3 0.2186 0.7500 0.9982
Ac4 0.3759 0.7500 0.4125
Ac5 0.4134 0.2500 0.8013
Cu1 0.3687 0.7500 0.6616
Os1 0.0874 0.2500 0.8836
```

Calculated XRD peak list of AcCuP2 for a wavelength of 1.5418 Å, from the PBE geometry in Alexandria.
No peak broadening, texture or thermal motion is included.

Most intense lines, 2θ from 10° to 80°, sorted by position:
| 2theta | d_spacing | I (rel.) | (hkl) |
| --- | --- | --- | --- |
| 16.97 | 5.225 | 21 | 0 4 0 |
| 22.76 | 3.908 | 69 | 1 1 1 |
| 25.79 | 3.455 | 28 | 1 3 1 |
| 31.03 | 2.882 | 68 | 1 5 1 |
| 34.32 | 2.613 | 23 | 0 8 0 |
| 36.27 | 2.477 | 100 | 0 4 2 |
| 45.21 | 2.006 | 25 | 1 9 1 |
| 45.61 | 1.989 | 31 | 2 0 2 |
| 56.19 | 1.637 | 24 | 3 5 1 |
| 78.15 | 1.223 | 20 | 2 4 4 |

Structure:
```
data_AcCuP2
_chemical_formula_sum 'Ac8 Cu8 P16'
_symmetry_space_group_name_H-M 'F m m 2'
_symmetry_Int_Tables_number 42
_symmetry_space_group_name_Hall 'F 2 -2'
_cell_length_a 5.6242
_cell_length_b 20.9017
_cell_length_c 5.6270
_cell_angle_alpha 90.00
_cell_angle_beta 90.00
_cell_angle_gamma 90.00
loop_
_atom_site_label
_atom_site_fract_x
_atom_site_fract_y
_atom_site_fract_z
Ac1 0.0000 0.1190 0.0000
Cu1 0.2500 0.2500 0.2513
P1 0.0000 0.1839 0.5011
P2 0.2008 0.0000 0.7157
```

Calculated XRD peak list of AcCu4SbP2 for a wavelength of 1.5418 Å, from the PBE geometry in Alexandria.
No peak broadening, texture or thermal motion is included.

Most intense lines, 2θ from 10° to 80°, sorted by position:
| 2theta | d_spacing | I (rel.) | (hkl) |
| --- | --- | --- | --- |
| 22.81 | 3.899 | 50 | 1 0 0 |
| 27.66 | 3.225 | 15 | 0 0 3 |
| 29.42 | 3.036 | 99 | 1 0 2 |
| 33.81 | 2.651 | 24 | 1 1 1 |
| 37.55 | 2.395 | 100 | 1 1 2 |
| 44.05 | 2.056 | 31 | 1 0 4 |
| 46.59 | 1.949 | 45 | 2 0 0 |
| 56.06 | 1.640 | 32 | 2 1 2 |
| 58.25 | 1.584 | 17 | 1 1 5 |
| 66.05 | 1.414 | 19 | 2 1 4 |

Structure:
```
data_AcCu4SbP2
_chemical_formula_sum 'Ac1 Cu4 Sb1 P2'
_symmetry_space_group_name_H-M 'P 4/m m m'
_symmetry_Int_Tables_number 123
_symmetry_space_group_name_Hall '-P 4 2'
_cell_length_a 3.8989
_cell_length_b 3.8989
_cell_length_c 9.6761
_cell_angle_alpha 90.00
_cell_angle_beta 90.00
_cell_angle_gamma 90.00
loop_
_atom_site_label
_atom_site_fract_x
_atom_site_fract_y
_atom_site_fract_z
Ac1 0.0000 0.0000 0.0000
Cu1 0.0000 0.5000 0.3039
Sb1 0.0000 0.0000 0.5000
P1 0.5000 0.5000 0.1736
```

Calculated XRD peak list of AcPa3Cu4S12 for a wavelength of 1.5418 Å, from the PBE geometry in Alexandria.
No peak broadening, texture or thermal motion is included.

Most intense lines, 2θ from 10° to 80°, sorted by position:
| 2theta | d_spacing | I (rel.) | (hkl) |
| --- | --- | --- | --- |
| 13.17 | 6.721 | 20 | 1 1 0 |
| 17.63 | 5.030 | 51 | 0 2 1 |
| 22.07 | 4.027 | 36 | 2 1 1 |
| 23.46 | 3.792 | 100 | 2 0 2 |
| 26.52 | 3.360 | 25 | 2 2 0 |
| 29.06 | 3.072 | 24 | 1 3 1 |
| 33.03 | 2.712 | 27 | 3 1 2 |
| 38.03 | 2.366 | 17 | 2 2 3 |
| 39.23 | 2.297 | 25 | 0 2 4 |
| 48.86 | 1.864 | 24 | 5 2 0 |

Structure:
```
data_AcPa3Cu4S12
_chemical_formula_sum 'Ac3 Pa9 Cu12 S36'
_symmetry_space_group_name_H-M 'R 3 2'
_symmetry_Int_Tables_number 155
_symmetry_space_group_name_Hall 'R 3 2"'
_cell_length_a 13.4418
_cell_length_b 13.4418
_cell_length_c 9.9971
_cell_angle_alpha 90.00
_cell_angle_beta 90.00
_cell_angle_gamma 120.00
loop_
_atom_site_label
_atom_site_fract_x
_atom_site_fract_y
_atom_site_fract_z
Ac1 0.0000 0.0000 0.0000
Pa1 0.0000 0.5578 0.0000
Cu1 0.0000 0.0000 0.5000
Cu2 0.0000 0.4262 0.5000
S1 0.0000 0.5950 0.5000
S2 0.0000 0.8388 0.5000
S3 0.0463 0.2004 0.1832
```